No. 1
Starting from a crystal structure in Alexandria, relaxed with GGA-PBE, the powder XRD pattern of Cs2YGeCl6 was simulated for Cu Kα (λ = 1.5418 Å).
Kinematic intensities with the Lorentz-polarization factor, no thermal factor.

Top 10 peaks for 2θ from 10° to 80°, by angle:
hkl  d [Å]  2theta  I/Imax
1 1 2  4.069  21.8  100
2 0 0  3.779  23.5  40
2 0 2  3.237  27.6  41
0 0 4  3.138  28.4  38
2 2 0  2.672  33.5  53
2 0 4  2.414  37.2  20
3 1 2  2.234  40.4  41
2 2 4  2.035  44.5  41
4 0 4  1.619  56.9  19
3 1 6  1.574  58.6  18

Cell and atoms:
a = 7.5578 Å, b = 7.5578 Å, c = 12.5540 Å
α = 90.00°, β = 90.00°, γ = 90.00°
Space group I4/mmm (No. 139)
Symmetry-distinct sites (fractional):
Cs: 0.0000 0.5000 0.2500 x4
Y: 0.0000 0.0000 0.0000 x2
Ge: 0.0000 0.0000 0.5000 x2
Cl: 0.0000 0.0000 0.2097 x4
Cl: 0.2479 0.2479 0.0000 x8

=====

No. 2
Starting from a crystal structure in Alexandria, relaxed with GGA-PBE, the powder XRD pattern of Er3Tm2Th2 was simulated for Cu Kα (λ = 1.5418 Å).
Kinematic intensities with the Lorentz-polarization factor, no thermal factor.

Top 10 peaks for 2θ from 10° to 80°, by angle:
hkl  d [Å]  2theta  I/Imax
1 2 1  2.880  31.1  100
1 0 2  2.503  35.9  35
0 3 2  2.476  36.3  16
2 1 0  1.772  51.6  6
0 1 -4  1.768  51.7  6
1 -3 0  1.761  51.9  18
2 3 -1  1.509  61.5  18
1 3 -3  1.507  61.5  11
0 5 1  1.496  62.0  14
2 4 2  1.441  64.7  9

Cell and atoms:
a = 3.5440 Å, b = 7.8376 Å, c = 8.6395 Å
α = 68.91°, β = 89.94°, γ = 76.94°
Space group P-1 (No. 2)
Symmetry-distinct sites (fractional):
Er: 0.0000 0.0000 0.0000 x1
Er: 0.1396 0.7210 0.4319 x2
Tm: 0.2848 0.4311 0.8603 x2
Th: 0.4292 0.1422 0.2872 x2

=====

No. 3
Starting from a crystal structure in Alexandria, relaxed with GGA-PBE, the powder XRD pattern of BiCOF2 was simulated for Cu Kα (λ = 1.5418 Å).
Kinematic intensities with the Lorentz-polarization factor, no thermal factor.

Top 10 peaks for 2θ from 10° to 80°, by angle:
hkl  d [Å]  2theta  I/Imax
1 0 0  4.703  18.9  100
1 1 0  3.326  26.8  54
0 0 1  3.002  29.8  16
1 0 1  2.530  35.5  57
2 0 0  2.352  38.3  43
1 1 1  2.228  40.5  62
2 1 0  2.103  43.0  28
2 0 1  1.851  49.2  18
2 1 1  1.723  53.2  37
3 1 1  1.333  70.7  23

Cell and atoms:
a = 4.7032 Å, b = 4.7032 Å, c = 3.0016 Å
α = 90.00°, β = 90.00°, γ = 90.00°
Space group P4/mmm (No. 123)
Symmetry-distinct sites (fractional):
Bi: 0.0000 0.0000 0.0000 x1
C: 0.5000 0.5000 0.5000 x1
O: 0.5000 0.5000 0.0000 x1
F: 0.0000 0.5000 0.5000 x2

=====

No. 4
Starting from a crystal structure in Alexandria, relaxed with GGA-PBE, the powder XRD pattern of Li3AgBr4 was simulated for Cu Kα (λ = 1.5418 Å).
Kinematic intensities with the Lorentz-polarization factor, no thermal factor.

Top 10 peaks for 2θ from 10° to 80°, by angle:
hkl  d [Å]  2theta  I/Imax
0 2 0  3.709  24.0  37
2 1 0  3.673  24.2  81
0 0 2  3.442  25.9  81
0 2 1  3.265  27.3  53
2 1 1  3.240  27.5  100
2 1 2  2.511  35.8  35
2 3 0  2.134  42.3  70
0 2 3  1.951  46.5  33
2 1 3  1.946  46.7  66
2 3 2  1.814  50.3  49

Cell and atoms:
a = 8.4538 Å, b = 7.4188 Å, c = 6.8830 Å
α = 90.00°, β = 90.00°, γ = 90.00°
Space group Pmn2_1 (No. 31)
Symmetry-distinct sites (fractional):
Li: 0.0000 0.1692 0.0000 x2
Li: 0.2491 0.6666 0.0018 x4
Ag: 0.0000 0.8348 0.5026 x2
Br: 0.0000 0.1845 0.6295 x2
Br: 0.0000 0.8387 0.1033 x2
Br: 0.2379 0.3430 0.1302 x4

=====

No. 5
Starting from a crystal structure in Alexandria, relaxed with GGA-PBE, the powder XRD pattern of Tl4Bi6O19 was simulated for Cu Kα (λ = 1.5418 Å).
Kinematic intensities with the Lorentz-polarization factor, no thermal factor.

Top 10 peaks for 2θ from 10° to 80°, by angle:
hkl  d [Å]  2theta  I/Imax
2 1 1  3.999  22.2  50
3 1 0  3.098  28.8  100
2 2 2  2.828  31.6  24
3 2 1  2.618  34.3  64
4 2 2  2.000  45.4  17
4 1 3  1.921  47.3  48
5 1 2  1.788  51.1  20
6 0 0  1.633  56.4  22
5 3 2  1.589  58.0  20
6 3 1  1.444  64.5  18

Cell and atoms:
a = 9.7960 Å, b = 9.7960 Å, c = 9.7960 Å
α = 90.00°, β = 90.00°, γ = 90.00°
Space group I23 (No. 197)
Symmetry-distinct sites (fractional):
Tl: 0.1414 0.1414 0.8586 x8
Bi: 0.0000 0.3288 0.5000 x12
O: 0.0000 0.0000 0.0000 x2
O: 0.0000 0.0000 0.3594 x12
O: 0.0376 0.3114 0.7193 x24

=====

No. 6
Starting from a crystal structure in Alexandria, relaxed with GGA-PBE, the powder XRD pattern of SnHRh was simulated for Cu Kα (λ = 1.5418 Å).
Kinematic intensities with the Lorentz-polarization factor, no thermal factor.

Top 10 peaks for 2θ from 10° to 80°, by angle:
hkl  d [Å]  2theta  I/Imax
1 0 1  3.078  29.0  74
0 2 0  2.664  33.6  100
0 1 4  2.198  41.1  78
1 1 3  2.100  43.1  91
1 2 1  2.014  45.0  45
2 0 0  1.624  56.7  17
0 3 4  1.430  65.2  20
1 3 3  1.402  66.7  25
2 2 0  1.387  67.6  20
2 1 4  1.306  72.4  30

Cell and atoms:
a = 3.2479 Å, b = 5.3265 Å, c = 9.6506 Å
α = 90.00°, β = 90.00°, γ = 90.00°
Space group P2_12_12_1 (No. 19)
Symmetry-distinct sites (fractional):
Sn: 0.0041 0.0000 0.0504 x4
H: 0.2117 0.2487 0.7505 x4
Rh: 0.0036 0.4997 0.1732 x4

=====

> What is the formula in the fourth record?

Li3AgBr4